Calculated powder diffractogram of Na2CuPCO7 for a wavelength of 1.5418 Å, from a cell relaxed with GGA-PBE.
Peak positions follow from Bragg's law for the DFT cell and can differ from measured ones.

Largest 10 diffraction maxima, by intensity, 2θ from 10° to 90°:
- 16.76 deg, 5.289 Å, rel. 100
- 25.90 deg, 3.440 Å, rel. 80
- 27.27 deg, 3.271 Å, rel. 76
- 34.58 deg, 2.594 Å, rel. 66
- 21.87 deg, 4.064 Å, rel. 56
- 33.77 deg, 2.654 Å, rel. 48
- 33.90 deg, 2.645 Å, rel. 44
- 34.03 deg, 2.634 Å, rel. 42
- 56.25 deg, 1.635 Å, rel. 38
- 37.64 deg, 2.390 Å, rel. 37

Structural model:
a b c (Å): 5.189 6.541 8.993
angles (deg): 90.00 91.44 90.00
Space group P2_1/m (No. 11)
Asymmetric unit:
Na 0.239 0.009 0.259
Cu 0.216 0.250 0.856
P 0.288 0.750 0.925
C 0.272 0.250 0.580
O 0.048 0.250 0.642
O 0.161 0.750 0.079
O 0.204 0.563 0.829
O 0.301 0.250 0.442
O 0.411 0.250 0.051
O 0.466 0.250 0.677